(1)
The following is a computed powder diffractogram of SmMgH6Pd2. It was derived from a structure optimized by DFT (GGA-PBE), using a wavelength of 1.5418 Å.
Peak positions follow from Bragg's law for the DFT cell and can differ from measured ones.

Largest 8 diffraction maxima, by angle, 10 to 80 degrees two-theta:
23.10°, rel. 75.1
31.60°, rel. 100.0
35.82°, rel. 88.4
39.36°, rel. 95.1
51.33°, rel. 25.4
54.27°, rel. 26.1
66.09°, rel. 25.3
69.08°, rel. 25.3

Crystal structure
Cell: 6.0055 6.0055 6.0055 Å, 44.81 44.81 44.81°
Fractional coordinates of all 10 atoms:
Sm (0.0000, 0.0000, 0.0000)
Mg (0.5000, 0.5000, 0.5000)
H (0.0739, 0.5553, 0.5553)
H (0.4447, 0.4447, 0.9261)
H (0.4447, 0.9261, 0.4447)
H (0.5553, 0.0739, 0.5553)
H (0.5553, 0.5553, 0.0739)
H (0.9261, 0.4447, 0.4447)
Pd (0.2110, 0.2110, 0.2110)
Pd (0.7890, 0.7890, 0.7890)

***

(2)
The following is a computed powder diffractogram of Ta2Ti5Co2Os. It was derived from a structure optimized by DFT (GGA-PBE), using a wavelength of 1.5418 Å.
Peak positions follow from Bragg's law for the DFT cell and can differ from measured ones.

Largest 8 diffraction maxima, by angle, 10 to 80 degrees two-theta:
24.85°, rel. 22.1
27.83°, rel. 48.5
29.30°, rel. 21.7
35.49°, rel. 25.0
36.55°, rel. 48.0
38.78°, rel. 34.3
39.77°, rel. 20.5
40.85°, rel. 100.0

Crystal structure
Cell: 10.1357 10.1357 3.0484 Å, 90.00 90.00 90.00°
Fractional coordinates of all 20 atoms:
Ta (0.1775, 0.3225, 0.0000)
Ta (0.3225, 0.8225, 0.0000)
Ta (0.6775, 0.1775, 0.0000)
Ta (0.8225, 0.6775, 0.0000)
Ti (0.0000, 0.5000, 0.5000)
Ti (0.0587, 0.7965, 0.5000)
Ti (0.2035, 0.0587, 0.5000)
Ti (0.2965, 0.5587, 0.5000)
Ti (0.4413, 0.2965, 0.5000)
Ti (0.5000, 0.0000, 0.5000)
Ti (0.5587, 0.7035, 0.5000)
Ti (0.7035, 0.4413, 0.5000)
Ti (0.7965, 0.9413, 0.5000)
Ti (0.9413, 0.2035, 0.5000)
Co (0.1280, 0.6280, 0.0000)
Co (0.3720, 0.1280, 0.0000)
Co (0.6280, 0.8720, 0.0000)
Co (0.8720, 0.3720, 0.0000)
Os (0.0000, 0.0000, 0.0000)
Os (0.5000, 0.5000, 0.0000)

***

(3)
The following is a computed powder diffractogram of Rb2TiI5. It was derived from a structure optimized by DFT (GGA-PBE), using a wavelength of 1.5418 Å.
Peak positions follow from Bragg's law for the DFT cell and can differ from measured ones.

Largest 8 diffraction maxima, by angle, 10 to 80 degrees two-theta:
25.86°, rel. 91.7
26.19°, rel. 79.4
27.49°, rel. 52.4
27.82°, rel. 49.1
28.25°, rel. 100.0
28.35°, rel. 89.4
28.57°, rel. 78.3
29.88°, rel. 65.4

Crystal structure
Cell: 10.4315 8.1306 16.5742 Å, 90.00 90.00 90.00°
Fractional coordinates of all 32 atoms:
Rb (0.0615, 0.2500, 0.1897)
Rb (0.1958, 0.7500, 0.4120)
Rb (0.3042, 0.2500, 0.9120)
Rb (0.4385, 0.7500, 0.6897)
Rb (0.5615, 0.2500, 0.3103)
Rb (0.6958, 0.7500, 0.0880)
Rb (0.8042, 0.2500, 0.5880)
Rb (0.9385, 0.7500, 0.8103)
Ti (0.1901, 0.7500, 0.0562)
Ti (0.3099, 0.2500, 0.5562)
Ti (0.6901, 0.7500, 0.4438)
Ti (0.8099, 0.2500, 0.9438)
I (0.0000, 0.0000, 0.0000)
I (0.0000, 0.5000, 0.0000)
I (0.0516, 0.7500, 0.2012)
I (0.1468, 0.0047, 0.6032)
I (0.1468, 0.4953, 0.6032)
I (0.2219, 0.2500, 0.3932)
I (0.2781, 0.7500, 0.8932)
I (0.3532, 0.5047, 0.1032)
I (0.3532, 0.9953, 0.1032)
I (0.4484, 0.2500, 0.7012)
I (0.5000, 0.0000, 0.5000)
I (0.5000, 0.5000, 0.5000)
I (0.5516, 0.7500, 0.2988)
I (0.6468, 0.0047, 0.8968)
I (0.6468, 0.4953, 0.8968)
I (0.7219, 0.2500, 0.1068)
I (0.7781, 0.7500, 0.6068)
I (0.8532, 0.5047, 0.3968)
I (0.8532, 0.9953, 0.3968)
I (0.9484, 0.2500, 0.7988)

***

(4)
The following is a computed powder diffractogram of Ti2Zn2Tc. It was derived from a structure optimized by DFT (GGA-PBE), using a wavelength of 1.5418 Å.
Peak positions follow from Bragg's law for the DFT cell and can differ from measured ones.

Largest 8 diffraction maxima, by angle, 10 to 80 degrees two-theta:
28.23°, rel. 25.9
37.60°, rel. 38.9
39.46°, rel. 100.0
40.73°, rel. 96.4
47.05°, rel. 39.7
50.29°, rel. 20.4
54.12°, rel. 20.7
73.61°, rel. 30.2

Crystal structure
Cell: 7.5120 7.5120 3.1615 Å, 90.00 90.00 153.93°
Fractional coordinates of all 5 atoms:
Ti (0.0969, 0.9031, 0.0000)
Ti (0.9031, 0.0969, 0.0000)
Zn (0.3081, 0.6919, 0.5000)
Zn (0.6919, 0.3081, 0.5000)
Tc (0.5000, 0.5000, 0.5000)

***

(5)
The following is a computed powder diffractogram of Dy3Y2Si4. It was derived from a structure optimized by DFT (GGA-PBE), using a wavelength of 1.5418 Å.
Peak positions follow from Bragg's law for the DFT cell and can differ from measured ones.

Largest 8 diffraction maxima, by angle, 10 to 80 degrees two-theta:
26.33°, rel. 52.4
27.16°, rel. 49.6
29.66°, rel. 62.6
32.99°, rel. 88.8
33.56°, rel. 73.5
33.78°, rel. 100.0
37.27°, rel. 58.8
38.19°, rel. 91.3

Crystal structure
Cell: 7.6378 7.6933 7.4271 Å, 90.00 106.29 90.00°
Fractional coordinates of all 18 atoms:
Dy (0.0000, 0.0000, 0.0000)
Dy (0.0000, 0.5000, 0.5000)
Dy (0.2573, 0.1816, 0.7465)
Dy (0.2573, 0.3184, 0.2465)
Dy (0.7427, 0.6816, 0.7535)
Dy (0.7427, 0.8184, 0.2535)
Y (0.2994, 0.6817, 0.9110)
Y (0.2994, 0.8183, 0.4110)
Y (0.7006, 0.1817, 0.5890)
Y (0.7006, 0.3183, 0.0890)
Si (0.0100, 0.6202, 0.1225)
Si (0.0100, 0.8798, 0.6225)
Si (0.4191, 0.0282, 0.1216)
Si (0.4191, 0.4718, 0.6216)
Si (0.5809, 0.5282, 0.3784)
Si (0.5809, 0.9718, 0.8784)
Si (0.9900, 0.1202, 0.3775)
Si (0.9900, 0.3798, 0.8775)

***

(6)
The following is a computed powder diffractogram of BaH3C3O7. It was derived from a structure optimized by DFT (GGA-PBE), using a wavelength of 1.5418 Å.
Peak positions follow from Bragg's law for the DFT cell and can differ from measured ones.

Largest 8 diffraction maxima, by angle, 10 to 80 degrees two-theta:
13.92°, rel. 98.6
16.35°, rel. 60.7
20.67°, rel. 100.0
22.15°, rel. 77.7
29.80°, rel. 91.9
38.47°, rel. 27.7
40.29°, rel. 41.2
42.05°, rel. 34.7

Crystal structure
Cell: 5.6648 19.9458 6.7536 Å, 90.00 96.17 90.00°
Fractional coordinates of all 56 atoms:
Ba (0.2287, 0.0787, 0.3820)
Ba (0.2287, 0.4213, 0.8820)
Ba (0.7713, 0.5787, 0.1180)
Ba (0.7713, 0.9213, 0.6180)
H (0.0222, 0.0594, 0.7927)
H (0.0222, 0.4406, 0.2927)
H (0.0356, 0.7256, 0.8728)
H (0.0356, 0.7744, 0.3728)
H (0.2019, 0.5944, 0.8389)
H (0.2019, 0.9056, 0.3389)
H (0.7981, 0.0944, 0.6611)
H (0.7981, 0.4056, 0.1611)
H (0.9644, 0.2256, 0.6272)
H (0.9644, 0.2744, 0.1272)
H (0.9778, 0.5594, 0.7073)
H (0.9778, 0.9406, 0.2073)
C (0.3202, 0.2448, 0.6442)
C (0.3202, 0.2552, 0.1442)
C (0.3954, 0.0118, 0.9207)
C (0.3954, 0.4882, 0.4207)
C (0.4305, 0.7115, 0.8669)
C (0.4305, 0.7885, 0.3669)
C (0.5695, 0.2115, 0.6331)
C (0.5695, 0.2885, 0.1331)
C (0.6046, 0.5118, 0.5793)
C (0.6046, 0.9882, 0.0793)
C (0.6798, 0.7448, 0.8558)
C (0.6798, 0.7552, 0.3558)
O (0.0844, 0.5570, 0.8360)
O (0.0844, 0.9430, 0.3360)
O (0.1412, 0.2032, 0.6087)
O (0.1412, 0.2968, 0.1087)
O (0.2344, 0.0472, 0.9852)
O (0.2344, 0.4528, 0.4852)
O (0.2550, 0.7489, 0.3497)
O (0.2550, 0.7511, 0.8497)
O (0.3031, 0.1952, 0.1850)
O (0.3031, 0.3048, 0.6850)
O (0.4019, 0.5064, 0.2411)
O (0.4019, 0.9936, 0.7411)
O (0.4273, 0.6485, 0.8903)
O (0.4273, 0.8515, 0.3903)
O (0.5727, 0.1485, 0.6097)
O (0.5727, 0.3515, 0.1097)
O (0.5981, 0.0064, 0.2589)
O (0.5981, 0.4936, 0.7589)
O (0.6969, 0.6952, 0.3150)
O (0.6969, 0.8048, 0.8150)
O (0.7450, 0.2489, 0.1503)
O (0.7450, 0.2511, 0.6503)
O (0.7656, 0.5472, 0.5148)
O (0.7656, 0.9528, 0.0148)
O (0.8588, 0.7032, 0.8913)
O (0.8588, 0.7968, 0.3913)
O (0.9156, 0.0570, 0.6640)
O (0.9156, 0.4430, 0.1640)

***

(7)
The following is a computed powder diffractogram of La3GeH2. It was derived from a structure optimized by DFT (GGA-PBE), using a wavelength of 1.5418 Å.
Peak positions follow from Bragg's law for the DFT cell and can differ from measured ones.

Largest 8 diffraction maxima, by angle, 10 to 80 degrees two-theta:
23.02°, rel. 18.2
27.26°, rel. 42.9
31.52°, rel. 100.0
35.47°, rel. 26.8
39.98°, rel. 13.4
41.58°, rel. 14.5
61.23°, rel. 14.9
65.07°, rel. 17.5

Crystal structure
Cell: 5.0620 12.8639 4.0514 Å, 90.00 90.00 90.00°
Fractional coordinates of all 12 atoms:
La (0.2500, 0.0616, 0.2467)
La (0.2500, 0.4384, 0.2467)
La (0.2500, 0.7500, 0.7180)
La (0.7500, 0.2500, 0.2820)
La (0.7500, 0.5616, 0.7533)
La (0.7500, 0.9384, 0.7533)
Ge (0.2500, 0.2500, 0.7571)
Ge (0.7500, 0.7500, 0.2429)
H (0.2500, 0.5554, 0.7439)
H (0.2500, 0.9446, 0.7439)
H (0.7500, 0.0554, 0.2561)
H (0.7500, 0.4446, 0.2561)

***

(8)
The following is a computed powder diffractogram of Zr4GeP. It was derived from a structure optimized by DFT (GGA-PBE), using a wavelength of 1.5418 Å.
Peak positions follow from Bragg's law for the DFT cell and can differ from measured ones.

Largest 8 diffraction maxima, by angle, 10 to 80 degrees two-theta:
33.13°, rel. 12.6
34.80°, rel. 100.0
38.54°, rel. 21.2
43.38°, rel. 22.5
43.65°, rel. 29.8
60.27°, rel. 19.5
60.70°, rel. 13.0
70.14°, rel. 16.4

Crystal structure
Cell: 6.5567 6.5567 5.4081 Å, 90.00 90.00 90.00°
Fractional coordinates of all 12 atoms:
Zr (0.1533, 0.3346, 0.0000)
Zr (0.1533, 0.6654, 0.5000)
Zr (0.3346, 0.1533, 0.5000)
Zr (0.3346, 0.8467, 0.0000)
Zr (0.6654, 0.1533, 0.0000)
Zr (0.6654, 0.8467, 0.5000)
Zr (0.8467, 0.3346, 0.5000)
Zr (0.8467, 0.6654, 0.0000)
Ge (0.5000, 0.5000, 0.2500)
Ge (0.5000, 0.5000, 0.7500)
P (0.0000, 0.0000, 0.2500)
P (0.0000, 0.0000, 0.7500)